1.
Structure and simulated X-ray powder pattern of Ba2ZnOsO6 (DFT lattice parameters and positions (PBE); a wavelength of 1.5418 Å).

Most intense lines, 2θ = 10–80°, by angle:
d [Å]	I (rel.)	hkl
4.730	14	1 1 1
2.897	100	2 2 0
2.470	7	3 1 1
2.048	29	4 0 0
1.880	3	3 3 1
1.672	40	4 2 2
1.577	3	5 1 1
1.448	18	4 4 0
1.385	3	5 3 1
1.295	18	6 2 0

Cell and atoms:
Unit cell a=8.1926 b=8.1926 c=8.1926 alpha=90.00 beta=90.00 gamma=90.00
Space group Fm-3m (No. 225)
Asymmetric unit:
Ba1 0.2500 0.2500 0.2500
Zn1 0.0000 0.0000 0.0000
Os1 0.0000 0.0000 0.5000
O1 0.0000 0.0000 0.2616

2.
Structure and simulated X-ray powder pattern of Ba3P4O13 (DFT lattice parameters and positions (PBE); a wavelength of 1.5418 Å).

Most intense lines, 2θ = 10–80°, by angle:
d [Å]	I (rel.)	hkl
3.874	23	0 2 -2
3.690	57	2 -1 0
3.576	44	1 1 1
3.385	100	1 0 -3
3.184	23	2 -2 0
3.128	31	2 1 -2
2.885	20	1 -3 1
2.875	23	1 -1 3
2.803	18	1 -2 3
2.235	18	-3 1 3

Cell and atoms:
Unit cell a=7.6828 b=8.7762 c=10.7729 alpha=108.10 beta=104.22 gamma=102.52
Space group P-1 (No. 2)
Asymmetric unit:
Ba1 0.0000 0.0000 0.0000
Ba2 0.1369 0.2242 0.7306
Ba3 0.3487 0.7699 0.7696
Ba4 0.5000 0.0000 0.5000
P1 0.1623 0.5391 0.3670
P2 0.1729 0.2018 0.3631
P3 0.3399 0.8160 0.1449
P4 0.3474 0.4774 0.1354
O1 0.0315 0.8871 0.7407
O2 0.0396 0.5120 0.7263
O3 0.1913 0.4055 0.4370
O4 0.1997 0.8315 0.2227
O5 0.2032 0.1432 0.4843
O6 0.2184 0.3058 0.0304
O7 0.2382 0.7116 0.4839
O8 0.3035 0.5348 0.2789
O9 0.3035 0.6112 0.0699
O10 0.3082 0.8777 0.0255
O11 0.3227 0.1984 0.2938
O12 0.4436 0.5002 0.8191
O13 0.4521 0.1043 0.7570

3.
Structure and simulated X-ray powder pattern of Ba2P6O17 (DFT lattice parameters and positions (PBE); a wavelength of 1.5418 Å).

Most intense lines, 2θ = 10–80°, by angle:
d [Å]	I (rel.)	hkl
5.533	28	1 1 0
4.871	100	1 2 -1
4.283	40	1 3 0
4.054	29	0 4 1
3.904	57	1 1 1
3.653	57	1 4 -1
3.548	24	0 2 2
3.277	37	0 3 2
2.679	26	1 1 -3
2.118	25	2 6 -2

Cell and atoms:
Unit cell a=6.1692 b=19.1323 c=8.1545 alpha=90.00 beta=110.45 gamma=90.00
Space group P2_1/c (No. 14)
Asymmetric unit:
Ba1 0.0989 0.0775 0.3499
P1 0.2795 0.6714 0.5899
P2 0.2967 0.6846 0.9697
P3 0.5000 0.0338 0.8203
O1 0.0693 0.6452 0.4507
O2 0.0787 0.6734 0.0049
O3 0.2283 0.6949 0.7580
O4 0.2679 0.0192 0.6828
O5 0.2792 0.5155 0.7053
O6 0.3986 0.7369 0.5370
O7 0.4948 0.6190 0.6425
O8 0.4965 0.6357 0.0361
O9 0.5000 0.0000 0.0000

Q: Number 2 is which compound?
A: Ba3P4O13

Q: Which formula does entry 2 have?
A: Ba3P4O13